Structure and theoretical powder diffractogram of Pr8PbAu2 (DFT lattice parameters and positions (GGA-PBE); Cu Kα, 1.54184 Å).
Lines closer than 0.1° are merged.

Principal peaks in the range 5° ≤ 2θ ≤ 70°, low angle first:
| Position (°2θ) | intensity | hkl |
| --- | --- | --- |
| 30.32 | 1000 | 5 1 -1 |
| 31.87 | 876 | 1 1 2 |
| 32.66 | 352 | 5 1 -2 |
| 33.07 | 379 | 4 0 -3 |
| 34.91 | 548 | 0 2 0 |
| 48.84 | 256 | 4 2 -3 |

Crystal structure
```
data_Pr8PbAu2
_space_group_name_H-M_alt 'C 1 2/m 1'
_space_group_IT_number 12
_space_group_name_Hall '-C 2y'
_cell_length_a 17.9868
_cell_length_b 5.1408
_cell_length_c 8.2991
_cell_angle_alpha 90.00
_cell_angle_beta 115.39
_cell_angle_gamma 90.00
loop_
_atom_site_label
_atom_site_fract_x
_atom_site_fract_y
_atom_site_fract_z
Pr1 0.0455 0.0000 0.2580
Pr2 0.0927 0.5000 0.9628
Pr3 0.1807 0.0000 0.7783
Pr4 0.1814 0.5000 0.4691
Pb1 0.0000 0.5000 0.5000
Au1 0.1922 0.0000 0.1541
```